# 1
This entry pairs a crystal structure of LaPbCl2 with its simulated powder diffractogram. Radiation: λ = 1.5418 Å (Cu Kα). Structure: DFT lattice parameters and positions (PBE).

Atomic structure:
Unit cell a=4.051 b=4.051 c=7.210 alpha=90.00 beta=90.00 gamma=90.00
Space group P4mm (No. 99)
Inequivalent atoms, fractional coordinates:
La  0.000  0.000  0.000 (multiplicity 1)
Pb  0.500  0.500  0.324 (multiplicity 1)
Cl  0.000  0.000  0.623 (multiplicity 1)
Cl  0.500  0.500  0.910 (multiplicity 1)

Most intense lines, 5 to 70 degrees two-theta, in order of falling intensity:
two_theta, I_rel, index
25.2, 100, 1 0 1
33.3, 88, 1 0 2
31.2, 78, 1 1 0
12.3, 40, 0 0 1
56.9, 38, 2 1 2
49.5, 35, 1 1 3
52.0, 30, 2 1 1
44.7, 29, 2 0 0

---

# 2
This entry pairs a crystal structure of LaPbCl5 with its simulated powder diffractogram. Radiation: λ = 1.5418 Å (Cu Kα). Structure: DFT lattice parameters and positions (PBE).

Atomic structure:
Unit cell a=10.947 b=10.112 c=10.934 alpha=90.00 beta=116.85 gamma=90.00
Space group C2/c (No. 15)
Inequivalent atoms, fractional coordinates:
La  0.250  0.250  0.000 (multiplicity 4)
Pb  0.000  0.094  0.250 (multiplicity 4)
Cl  0.000  0.227  0.750 (multiplicity 4)
Cl  0.106  0.290  0.152 (multiplicity 8)
Cl  0.217  0.020  0.514 (multiplicity 8)

Most intense lines, 5 to 70 degrees two-theta, in order of falling intensity:
two_theta, I_rel, index
17.8, 100, 1 1 1
12.6, 83, 1 1 0
19.0, 79, 2 0 -2
28.2, 62, 1 3 -1
31.2, 48, 2 0 2
42.5, 40, 3 3 1
39.4, 31, 3 3 -3
40.2, 31, 0 4 2

---

# 3
This entry pairs a crystal structure of La5Pb3Cl with its simulated powder diffractogram. Radiation: λ = 1.5418 Å (Cu Kα). Structure: DFT lattice parameters and positions (PBE).

Atomic structure:
Unit cell a=9.7639 b=9.7639 c=6.9479 alpha=90.00 beta=90.00 gamma=120.00
Space group P6_3/mcm (No. 193)
Inequivalent atoms, fractional coordinates:
La  0.0000  0.2590  0.2500 (multiplicity 6)
La  0.3333  0.6667  0.0000 (multiplicity 4)
Pb  0.0000  0.3870  0.7500 (multiplicity 6)
Cl  0.0000  0.0000  0.0000 (multiplicity 2)

Most intense lines, 5 to 70 degrees two-theta, in order of falling intensity:
two_theta, I_rel, index
31.6, 100, 1 1 2
30.8, 97, 2 1 1
31.7, 75, 3 0 0
40.6, 29, 3 1 1
48.5, 28, 2 1 3
25.6, 26, 0 0 2
45.4, 23, 2 2 2
62.8, 21, 3 0 4